(1)
Structure and theoretical X-ray powder pattern of Na3TcCl7 (a structure optimized by DFT (GGA-PBE); a wavelength of 1.5418 Å).

Top 10 peaks for 10° ≤ 2θ ≤ 80°, in order of rising 2θ:
hkl	Position (°2θ)	Rel. int.
1 1 0	12.8	100
0 0 1	13.1	27
2 0 0	15.2	39
1 1 -1	18.0	26
1 1 1	18.7	27
2 2 1	29.4	46
2 0 -2	29.7	24
4 2 -1	39.0	15
4 2 1	40.4	15
3 3 1	41.8	25

Cell and atoms:
```
data_Na3TcCl7
_symmetry_space_group_name_H-M 'C 1 m 1'
_symmetry_Int_Tables_number 8
_cell_length_a 11.649
_cell_length_b 8.629
_cell_length_c 6.778
_cell_angle_alpha 90.00
_cell_angle_beta 93.65
_cell_angle_gamma 90.00
loop_
_symmetry_equiv_pos_as_xyz
'x,y,z'
'x,-y,z'
'x+1/2,y+1/2,z'
'x+1/2,-y+1/2,z'
loop_
_atom_site_label
_atom_site_type_symbol
_atom_site_fract_x
_atom_site_fract_y
_atom_site_fract_z
Na1 Na 0.000 0.000 0.000
Na2 Na 0.186 0.268 0.460
Tc1 Tc 0.182 0.500 0.963
Cl1 Cl 0.065 0.304 0.805
Cl2 Cl 0.065 0.500 0.236
Cl3 Cl 0.098 0.000 0.364
Cl4 Cl 0.304 0.307 0.112
Cl5 Cl 0.305 0.500 0.687
```

=====

(2)
Structure and theoretical X-ray powder pattern of Na3TeCl7 (a structure optimized by DFT (GGA-PBE); a wavelength of 1.5418 Å).

Top 10 peaks for 10° ≤ 2θ ≤ 80°, in order of rising 2θ:
hkl	Position (°2θ)	Rel. int.
1 1 0	12.5	100
2 0 0	15.3	50
2 0 -1	16.3	43
1 1 1	20.4	29
0 2 1	24.1	23
2 2 1	31.2	54
4 0 -2	33.2	27
1 3 1	35.1	20
2 2 -3	43.7	23
6 2 -1	48.6	18

Cell and atoms:
```
data_Na3TeCl7
_symmetry_space_group_name_H-M 'C 1 m 1'
_symmetry_Int_Tables_number 8
_cell_length_a 12.407
_cell_length_b 8.929
_cell_length_c 7.018
_cell_angle_alpha 90.00
_cell_angle_beta 110.85
_cell_angle_gamma 90.00
loop_
_symmetry_equiv_pos_as_xyz
'x,y,z'
'x,-y,z'
'x+1/2,y+1/2,z'
'x+1/2,-y+1/2,z'
loop_
_atom_site_label
_atom_site_type_symbol
_atom_site_fract_x
_atom_site_fract_y
_atom_site_fract_z
Na1 Na 0.000 0.000 0.000
Na2 Na 0.374 0.231 0.455
Te1 Te 0.369 0.000 0.947
Cl1 Cl 0.245 0.000 0.190
Cl2 Cl 0.246 0.196 0.726
Cl3 Cl 0.431 0.500 0.599
Cl4 Cl 0.495 0.218 0.184
Cl5 Cl 0.497 0.000 0.735
```

=====

(3)
Structure and theoretical X-ray powder pattern of Na2TeCl5 (a structure optimized by DFT (GGA-PBE); a wavelength of 1.5418 Å).

Top 10 peaks for 10° ≤ 2θ ≤ 80°, in order of rising 2θ:
hkl	Position (°2θ)	Rel. int.
0 1 0	13.0	100
0 0 1	13.2	72
1 0 1	18.5	66
1 1 1	18.7	47
1 -1 0	23.2	24
1 1 2	25.5	42
1 0 2	27.2	28
0 2 2	31.8	33
0 1 -2	32.8	38
-1 2 1	35.4	29

Cell and atoms:
```
data_Na2TeCl5
_symmetry_space_group_name_H-M 'P 1'
_symmetry_Int_Tables_number 1
_cell_length_a 5.520
_cell_length_b 7.325
_cell_length_c 7.458
_cell_angle_alpha 70.42
_cell_angle_beta 69.59
_cell_angle_gamma 75.85
loop_
_symmetry_equiv_pos_as_xyz
'x,y,z'
loop_
_atom_site_label
_atom_site_type_symbol
_atom_site_fract_x
_atom_site_fract_y
_atom_site_fract_z
Na1 Na 0.000 0.000 0.000
Na2 Na 0.460 0.608 0.336
Te1 Te 0.576 0.999 0.540
Cl1 Cl 0.222 0.270 0.629
Cl2 Cl 0.257 0.757 0.713
Cl3 Cl 0.527 0.924 0.005
Cl4 Cl 0.825 0.262 0.255
Cl5 Cl 0.893 0.725 0.382
```

=====

(4)
Structure and theoretical X-ray powder pattern of NaThCl2 (a structure optimized by DFT (GGA-PBE); a wavelength of 1.5418 Å).

Top 10 peaks for 10° ≤ 2θ ≤ 80°, in order of rising 2θ:
hkl	Position (°2θ)	Rel. int.
0 0 6	20.0	39
1 0 1	27.3	98
0 1 2	27.9	100
0 0 9	30.1	27
1 0 4	30.3	39
1 0 7	36.1	26
0 1 8	38.4	49
1 0 10	43.7	42
1 1 0	47.9	32
1 1 9	57.6	33

Cell and atoms:
```
data_NaThCl2
_symmetry_space_group_name_H-M 'R -3 m'
_symmetry_Int_Tables_number 166
_symmetry_space_group_name_Hall '-R 3 2"'
_cell_length_a 3.7997
_cell_length_b 3.7997
_cell_length_c 26.6851
_cell_angle_alpha 90.00
_cell_angle_beta 90.00
_cell_angle_gamma 120.00
loop_
_atom_site_label
_atom_site_type_symbol
_atom_site_fract_x
_atom_site_fract_y
_atom_site_fract_z
Na1 Na 0.0000 0.0000 0.0000
Th1 Th 0.0000 0.0000 0.5000
Cl1 Cl 0.0000 0.0000 0.3959
```

=====

(5)
Structure and theoretical X-ray powder pattern of NaTi4Cl7 (a structure optimized by DFT (GGA-PBE); a wavelength of 1.5418 Å).

Top 10 peaks for 10° ≤ 2θ ≤ 80°, in order of rising 2θ:
hkl	Position (°2θ)	Rel. int.
2 0 0	11.2	100
1 1 0	15.9	45
4 1 0	27.0	33
0 0 2	29.9	76
4 1 1	31.0	40
1 1 2	34.0	28
2 2 1	35.5	61
3 1 2	37.8	54
6 1 1	40.3	39
8 0 0	45.9	27

Cell and atoms:
```
data_NaTi4Cl7
_symmetry_space_group_name_H-M 'P m n 21'
_symmetry_Int_Tables_number 31
_cell_length_a 15.831
_cell_length_b 5.964
_cell_length_c 5.975
_cell_angle_alpha 90.00
_cell_angle_beta 90.00
_cell_angle_gamma 90.00
loop_
_symmetry_equiv_pos_as_xyz
'x,y,z'
'-x+1/2,-y,z+1/2'
'-x,y,z'
'x+1/2,-y,z+1/2'
loop_
_atom_site_label
_atom_site_type_symbol
_atom_site_fract_x
_atom_site_fract_y
_atom_site_fract_z
Na1 Na 0.000 0.130 0.000
Ti1 Ti 0.151 0.732 0.550
Ti2 Ti 0.238 0.095 0.650
Cl1 Cl 0.000 0.833 0.642
Cl2 Cl 0.112 0.793 0.164
Cl3 Cl 0.121 0.349 0.743
Cl4 Cl 0.219 0.286 0.276
```

=====

(6)
Structure and theoretical X-ray powder pattern of NaTi2Cl8 (a structure optimized by DFT (GGA-PBE); a wavelength of 1.5418 Å).

Top 10 peaks for 10° ≤ 2θ ≤ 80°, in order of rising 2θ:
hkl	Position (°2θ)	Rel. int.
0 1 1	17.2	100
0 0 2	21.6	18
1 1 0	23.3	16
2 0 0	27.0	22
0 2 1	29.1	23
0 2 2	34.9	19
0 1 3	35.5	18
1 2 1	37.7	21
2 2 0	47.7	22
0 2 4	52.5	18

Cell and atoms:
```
data_NaTi2Cl8
_symmetry_space_group_name_H-M 'P -3 m 1'
_symmetry_Int_Tables_number 164
_symmetry_space_group_name_Hall '-P 3 2"'
_cell_length_a 7.6265
_cell_length_b 7.6265
_cell_length_c 8.2135
_cell_angle_alpha 90.00
_cell_angle_beta 90.00
_cell_angle_gamma 120.00
loop_
_atom_site_label
_atom_site_type_symbol
_atom_site_fract_x
_atom_site_fract_y
_atom_site_fract_z
Na1 Na 0.0000 0.0000 0.0000
Ti1 Ti 0.3333 0.6667 0.2993
Cl1 Cl 0.1734 0.3468 0.2098
Cl2 Cl 0.3333 0.6667 0.5674
```

=====

(7)
Structure and theoretical X-ray powder pattern of Na2TiCl4 (a structure optimized by DFT (GGA-PBE); a wavelength of 1.5418 Å).

Top 10 peaks for 10° ≤ 2θ ≤ 80°, in order of rising 2θ:
hkl	Position (°2θ)	Rel. int.
0 0 2	12.3	68
1 0 1	19.0	52
1 1 0	25.5	44
1 1 2	28.4	42
1 1 4	35.8	31
1 0 5	36.1	45
2 0 0	36.4	100
0 0 6	37.4	36
2 2 0	52.4	31
2 0 6	53.2	46

Cell and atoms:
```
data_Na2TiCl4
_symmetry_space_group_name_H-M 'I 4/m m m'
_symmetry_Int_Tables_number 139
_symmetry_space_group_name_Hall '-I 4 2'
_cell_length_a 4.940
_cell_length_b 4.940
_cell_length_c 14.421
_cell_angle_alpha 90.00
_cell_angle_beta 90.00
_cell_angle_gamma 90.00
loop_
_atom_site_label
_atom_site_type_symbol
_atom_site_fract_x
_atom_site_fract_y
_atom_site_fract_z
Na1 Na 0.000 0.000 0.140
Ti1 Ti 0.000 0.000 0.500
Cl1 Cl 0.000 0.000 0.325
Cl2 Cl 0.000 0.500 0.000
```

=====

(8)
Structure and theoretical X-ray powder pattern of NaTiTl2Cl6 (a structure optimized by DFT (GGA-PBE); a wavelength of 1.5418 Å).

Top 10 peaks for 10° ≤ 2θ ≤ 80°, in order of rising 2θ:
hkl	Position (°2θ)	Rel. int.
1 0 1	17.2	88
0 1 -1	24.1	99
2 1 1	24.7	97
0 2 0	29.7	94
2 2 2	30.8	32
2 2 0	34.8	100
2 -1 1	38.6	32
1 -2 1	42.4	33
3 1 0	42.8	44
2 0 -2	49.3	29

Cell and atoms:
```
data_NaTiTl2Cl6
_symmetry_space_group_name_H-M 'P -1'
_symmetry_Int_Tables_number 2
_cell_length_a 7.196
_cell_length_b 7.204
_cell_length_c 7.210
_cell_angle_alpha 61.72
_cell_angle_beta 61.78
_cell_angle_gamma 61.71
loop_
_symmetry_equiv_pos_as_xyz
'x,y,z'
'-x,-y,-z'
loop_
_atom_site_label
_atom_site_type_symbol
_atom_site_fract_x
_atom_site_fract_y
_atom_site_fract_z
Na1 Na 0.000 0.000 0.000
Ti1 Ti 0.500 0.500 0.500
Tl1 Tl 0.258 0.258 0.260
Cl1 Cl 0.207 0.328 0.720
Cl2 Cl 0.276 0.793 0.672
Cl3 Cl 0.330 0.723 0.206
```

=====

(9)
Structure and theoretical X-ray powder pattern of Na3TlCl4 (a structure optimized by DFT (GGA-PBE); a wavelength of 1.5418 Å).

Top 10 peaks for 10° ≤ 2θ ≤ 80°, in order of rising 2θ:
hkl	Position (°2θ)	Rel. int.
0 0 1	10.4	78
0 1 0	14.7	48
0 1 1	18.0	53
1 0 1	24.0	38
1 1 1	28.2	47
0 2 0	29.6	55
1 0 2	30.2	100
1 1 2	33.7	25
1 2 2	42.8	74
2 0 0	43.9	28

Cell and atoms:
```
data_Na3TlCl4
_symmetry_space_group_name_H-M 'P m m m'
_symmetry_Int_Tables_number 47
_cell_length_a 4.128
_cell_length_b 6.042
_cell_length_c 8.479
_cell_angle_alpha 90.00
_cell_angle_beta 90.00
_cell_angle_gamma 90.00
loop_
_symmetry_equiv_pos_as_xyz
'x,y,z'
'-x,-y,-z'
'-x,-y,z'
'x,y,-z'
'x,-y,-z'
'-x,y,z'
'-x,y,-z'
'x,-y,z'
loop_
_atom_site_label
_atom_site_type_symbol
_atom_site_fract_x
_atom_site_fract_y
_atom_site_fract_z
Na1 Na 0.000 0.000 0.000
Na2 Na 0.500 0.500 0.238
Tl1 Tl 0.000 0.000 0.500
Cl1 Cl 0.000 0.500 0.000
Cl2 Cl 0.000 0.500 0.500
Cl3 Cl 0.500 0.000 0.219
```

=====

(10)
Structure and theoretical X-ray powder pattern of NaTl6Cl8 (a structure optimized by DFT (GGA-PBE); a wavelength of 1.5418 Å).

Top 10 peaks for 10° ≤ 2θ ≤ 80°, in order of rising 2θ:
hkl	Position (°2θ)	Rel. int.
1 1 0	18.8	40
1 1 1	23.9	100
0 0 2	29.4	25
1 2 1	32.5	33
3 0 0	32.9	49
1 1 2	35.2	32
4 -2 1	41.1	25
4 -3 1	42.6	16
3 0 2	44.7	29
2 -1 3	49.0	25

Cell and atoms:
```
data_NaTl6Cl8
_symmetry_space_group_name_H-M 'P -3'
_symmetry_Int_Tables_number 147
_cell_length_a 9.4321
_cell_length_b 9.4321
_cell_length_c 6.0679
_cell_angle_alpha 90.00
_cell_angle_beta 90.00
_cell_angle_gamma 120.00
loop_
_symmetry_equiv_pos_as_xyz
'x,y,z'
'-x,-y,-z'
'-y,x-y,z'
'y,-x+y,-z'
'-x+y,-x,z'
'x-y,x,-z'
loop_
_atom_site_label
_atom_site_type_symbol
_atom_site_fract_x
_atom_site_fract_y
_atom_site_fract_z
Na1 Na 0.0000 0.0000 0.0000
Tl1 Tl 0.0023 0.6325 0.2352
Cl1 Cl 0.0009 0.7432 0.7568
Cl2 Cl 0.3333 0.6667 0.0019
```

=====

(11)
Structure and theoretical X-ray powder pattern of Na4Tl2Cl9 (a structure optimized by DFT (GGA-PBE); a wavelength of 1.5418 Å).

Top 10 peaks for 10° ≤ 2θ ≤ 80°, in order of rising 2θ:
hkl	Position (°2θ)	Rel. int.
1 0 0	14.5	100
0 1 2	17.2	19
1 0 4	23.6	60
1 1 0	25.2	24
2 -1 3	28.9	23
2 -1 4	31.5	22
0 2 4	34.8	31
2 -1 6	38.0	37
3 -1 4	43.5	30
3 0 0	44.4	28

Cell and atoms:
```
data_Na4Tl2Cl9
_symmetry_space_group_name_H-M 'P -3'
_symmetry_Int_Tables_number 147
_cell_length_a 7.0617
_cell_length_b 7.0617
_cell_length_c 19.1758
_cell_angle_alpha 90.00
_cell_angle_beta 90.00
_cell_angle_gamma 120.00
loop_
_symmetry_equiv_pos_as_xyz
'x,y,z'
'-x,-y,-z'
'-y,x-y,z'
'y,-x+y,-z'
'-x+y,-x,z'
'x-y,x,-z'
loop_
_atom_site_label
_atom_site_type_symbol
_atom_site_fract_x
_atom_site_fract_y
_atom_site_fract_z
Na1 Na 0.3333 0.6667 0.0130
Na2 Na 0.3333 0.6667 0.3213
Na3 Na 0.3333 0.6667 0.5236
Na4 Na 0.3333 0.6667 0.8154
Tl1 Tl 0.0000 0.0000 0.1388
Tl2 Tl 0.0000 0.0000 0.3477
Cl1 Cl 0.0078 0.3005 0.7390
Cl2 Cl 0.0229 0.6520 0.9129
Cl3 Cl 0.0344 0.3365 0.4177
```

=====

(12)
Structure and theoretical X-ray powder pattern of Na2Tl2Cl7 (a structure optimized by DFT (GGA-PBE); a wavelength of 1.5418 Å).

Top 10 peaks for 10° ≤ 2θ ≤ 80°, in order of rising 2θ:
hkl	Position (°2θ)	Rel. int.
1 0 0	12.9	28
1 1 0	14.2	54
0 2 1	17.1	100
1 1 1	19.4	79
1 2 -1	20.7	85
1 3 0	22.4	22
2 3 -1	33.2	23
2 0 2	37.4	20
0 5 2	39.4	19
2 5 0	40.6	32

Cell and atoms:
```
data_Na2Tl2Cl7
_symmetry_space_group_name_H-M 'P 1 21/c 1'
_symmetry_Int_Tables_number 14
_cell_length_a 6.917
_cell_length_b 14.559
_cell_length_c 7.417
_cell_angle_alpha 90.00
_cell_angle_beta 95.52
_cell_angle_gamma 90.00
loop_
_symmetry_equiv_pos_as_xyz
'x,y,z'
'-x,-y,-z'
'-x,y+1/2,-z+1/2'
'x,-y+1/2,z+1/2'
loop_
_atom_site_label
_atom_site_type_symbol
_atom_site_fract_x
_atom_site_fract_y
_atom_site_fract_z
Na1 Na 0.098 0.153 0.401
Tl1 Tl 0.358 0.635 0.683
Cl1 Cl 0.127 0.712 0.428
Cl2 Cl 0.165 0.540 0.896
Cl3 Cl 0.348 0.230 0.688
Cl4 Cl 0.500 0.000 0.000
```

=====

(13)
Structure and theoretical X-ray powder pattern of NaUTl2Cl6 (a structure optimized by DFT (GGA-PBE); a wavelength of 1.5418 Å).

Top 10 peaks for 10° ≤ 2θ ≤ 80°, in order of rising 2θ:
hkl	Position (°2θ)	Rel. int.
2 0 -1	14.2	28
1 1 0	14.2	28
2 0 -2	23.0	24
1 1 1	23.3	100
3 1 -1	23.3	67
1 1 -2	27.1	24
2 2 -2	33.0	52
2 0 2	40.9	41
4 2 0	41.1	33
0 4 0	47.5	23

Cell and atoms:
```
data_NaUTl2Cl6
_symmetry_space_group_name_H-M 'C 1 2/m 1'
_symmetry_Int_Tables_number 12
_cell_length_a 13.178
_cell_length_b 7.658
_cell_length_c 7.717
_cell_angle_alpha 90.00
_cell_angle_beta 125.57
_cell_angle_gamma 90.00
loop_
_symmetry_equiv_pos_as_xyz
'x,y,z'
'-x,-y,-z'
'-x,y,-z'
'x,-y,z'
'x+1/2,y+1/2,z'
'-x+1/2,-y+1/2,-z'
'-x+1/2,y+1/2,-z'
'x+1/2,-y+1/2,z'
loop_
_atom_site_label
_atom_site_type_symbol
_atom_site_fract_x
_atom_site_fract_y
_atom_site_fract_z
Na1 Na 0.000 0.000 0.000
U1 U 0.000 0.500 0.500
Tl1 Tl 0.246 0.500 0.218
Cl1 Cl 0.060 0.251 0.804
Cl2 Cl 0.245 0.500 0.639
```